[1]
Ho3Er2Lu2Te2Pd2: computed X-ray diffraction stick pattern (copper Kα), based on the PBE geometry in OQMD.
No peak broadening, texture or thermal motion is included.

Principal peaks in the range 10° ≤ 2θ ≤ 90°, by intensity:
2θ (°), d (Å), I_rel
33.80, 2.652, 100
32.98, 2.716, 63
34.26, 2.617, 51
30.02, 2.976, 49
28.56, 3.125, 33
46.31, 1.961, 29
58.02, 1.590, 25
36.31, 2.474, 24
30.23, 2.957, 23
38.18, 2.357, 22

Crystal structure
a = 9.334 Å, b = 9.334 Å, c = 9.334 Å
α = 155.75°, β = 67.25°, γ = 118.35°
Fractional coordinates of all 11 atoms:
Ho 0.000 0.000 0.000
Ho 0.453 0.583 0.870
Ho 0.713 0.583 0.130
Er 0.090 0.734 0.355
Er 0.379 0.734 0.645
Lu 0.057 0.375 0.683
Lu 0.692 0.375 0.317
Te 0.336 0.336 0.000
Te 0.736 0.236 0.500
Pd 0.303 0.067 0.236
Pd 0.832 0.067 0.764

---

[2]
HoErMg2Pb2: computed X-ray diffraction stick pattern (copper Kα), based on the PBE geometry in OQMD.
No peak broadening, texture or thermal motion is included.

Principal peaks in the range 10° ≤ 2θ ≤ 90°, by intensity:
2θ (°), d (Å), I_rel
28.56, 3.126, 100
36.53, 2.460, 84
40.83, 2.210, 52
22.30, 3.986, 50
44.76, 2.025, 35
71.52, 1.319, 32
47.01, 1.933, 29
30.72, 2.910, 28
11.10, 7.972, 27
53.96, 1.699, 24

Crystal structure
a = 4.421 Å, b = 4.421 Å, c = 15.944 Å
α = 90.00°, β = 90.00°, γ = 90.00°
Fractional coordinates of all 12 atoms:
Ho 0.000 0.000 0.000
Ho 0.500 0.500 0.500
Er 0.000 0.000 0.669
Er 0.500 0.500 0.169
Mg 0.000 0.500 0.335
Mg 0.000 0.500 0.835
Mg 0.500 0.000 0.335
Mg 0.500 0.000 0.835
Pb 0.000 0.000 0.196
Pb 0.000 0.000 0.473
Pb 0.500 0.500 0.696
Pb 0.500 0.500 0.973

---

[3]
HoErPbN: computed X-ray diffraction stick pattern (copper Kα), based on the PBE geometry in OQMD.
No peak broadening, texture or thermal motion is included.

Principal peaks in the range 10° ≤ 2θ ≤ 90°, by intensity:
2θ (°), d (Å), I_rel
34.16, 2.625, 100
29.29, 3.049, 22
51.94, 1.760, 21
64.05, 1.454, 21
34.79, 2.578, 20
61.97, 1.497, 18
63.65, 1.462, 17
46.10, 1.969, 16
86.54, 1.125, 15
85.05, 1.141, 8

Crystal structure
a = 3.521 Å, b = 3.521 Å, c = 15.470 Å
α = 90.00°, β = 90.00°, γ = 120.00°
Fractional coordinates of all 8 atoms:
Ho 0.000 0.000 0.167
Ho 0.000 0.000 0.833
Er 0.667 0.333 0.333
Er 0.667 0.333 0.667
Pb 0.000 0.000 0.500
Pb 0.667 0.333 0.000
N 0.333 0.667 0.251
N 0.333 0.667 0.749

---

[4]
HoErPbN: computed X-ray diffraction stick pattern (copper Kα), based on the PBE geometry in OQMD.
No peak broadening, texture or thermal motion is included.

Principal peaks in the range 10° ≤ 2θ ≤ 90°, by intensity:
2θ (°), d (Å), I_rel
34.16, 2.625, 100
29.29, 3.049, 22
51.94, 1.760, 21
64.04, 1.454, 21
34.79, 2.579, 20
61.97, 1.497, 18
63.65, 1.462, 17
46.10, 1.969, 16
86.54, 1.125, 15
85.05, 1.141, 8

Crystal structure
a = 3.521 Å, b = 3.521 Å, c = 15.472 Å
α = 90.00°, β = 90.00°, γ = 120.00°
Fractional coordinates of all 8 atoms:
Ho 0.333 0.667 0.417
Ho 0.667 0.333 0.583
Er 0.333 0.667 0.083
Er 0.667 0.333 0.917
Pb 0.333 0.667 0.751
Pb 0.667 0.333 0.249
N 0.000 0.000 0.000
N 0.000 0.000 0.500

---

[5]
Nd3Ho2ErTe2Pd: computed X-ray diffraction stick pattern (copper Kα), based on the PBE geometry in OQMD.
No peak broadening, texture or thermal motion is included.

Principal peaks in the range 10° ≤ 2θ ≤ 90°, by intensity:
2θ (°), d (Å), I_rel
30.46, 2.935, 100
32.85, 2.726, 88
32.17, 2.782, 76
39.26, 2.295, 42
59.26, 1.559, 35
36.62, 2.454, 34
56.10, 1.639, 31
44.66, 2.029, 24
50.01, 1.824, 18
59.08, 1.564, 17

Crystal structure
a = 4.058 Å, b = 8.499 Å, c = 8.499 Å
α = 119.97°, β = 90.00°, γ = 90.00°
Fractional coordinates of all 9 atoms:
Nd 0.000 0.000 0.000
Nd 0.000 0.407 0.813
Nd 0.000 0.813 0.407
Ho 0.500 0.166 0.407
Ho 0.500 0.407 0.166
Er 0.500 0.647 0.647
Te 0.500 0.073 0.740
Te 0.500 0.740 0.073
Pd 0.000 0.408 0.408

---

[6]
HoErSi4Ni2: computed X-ray diffraction stick pattern (copper Kα), based on the PBE geometry in OQMD.
No peak broadening, texture or thermal motion is included.

Principal peaks in the range 10° ≤ 2θ ≤ 90°, by intensity:
2θ (°), d (Å), I_rel
36.07, 2.490, 100
32.47, 2.758, 73
35.56, 2.524, 73
45.87, 1.978, 60
21.70, 4.095, 35
40.14, 2.246, 33
59.39, 1.556, 33
25.01, 3.560, 32
31.46, 2.844, 29
23.10, 3.850, 23

Crystal structure
a = 3.953 Å, b = 3.961 Å, c = 16.380 Å
α = 90.00°, β = 90.00°, γ = 90.00°
Fractional coordinates of all 16 atoms:
Ho 0.000 0.000 0.000
Ho 0.000 0.500 0.500
Er 0.500 0.000 0.789
Er 0.500 0.500 0.289
Si 0.000 0.000 0.355
Si 0.000 0.000 0.645
Si 0.000 0.500 0.145
Si 0.000 0.500 0.855
Si 0.500 0.000 0.145
Si 0.500 0.000 0.434
Si 0.500 0.500 0.645
Si 0.500 0.500 0.934
Ni 0.000 0.000 0.218
Ni 0.000 0.500 0.718
Ni 0.500 0.000 0.572
Ni 0.500 0.500 0.072

---

[7]
HoErTlNi2: computed X-ray diffraction stick pattern (copper Kα), based on the PBE geometry in OQMD.
No peak broadening, texture or thermal motion is included.

Principal peaks in the range 10° ≤ 2θ ≤ 90°, by intensity:
2θ (°), d (Å), I_rel
34.33, 2.612, 100
35.00, 2.564, 70
29.69, 3.009, 53
39.03, 2.308, 33
59.94, 1.543, 30
47.02, 1.932, 22
56.64, 1.625, 21
49.88, 1.828, 19
37.52, 2.397, 17
59.13, 1.562, 16

Crystal structure
a = 3.657 Å, b = 3.865 Å, c = 14.383 Å
α = 90.00°, β = 90.00°, γ = 90.00°
Fractional coordinates of all 10 atoms:
Ho 0.000 0.000 0.000
Ho 0.000 0.500 0.500
Er 0.000 0.000 0.280
Er 0.000 0.500 0.780
Tl 0.500 0.000 0.640
Tl 0.500 0.500 0.140
Ni 0.500 0.000 0.439
Ni 0.500 0.000 0.840
Ni 0.500 0.500 0.340
Ni 0.500 0.500 0.939

---

[8]
Ho2Er2O5: computed X-ray diffraction stick pattern (copper Kα), based on the PBE geometry in OQMD.
No peak broadening, texture or thermal motion is included.

Principal peaks in the range 10° ≤ 2θ ≤ 90°, by intensity:
2θ (°), d (Å), I_rel
30.05, 2.973, 100
32.60, 2.747, 36
56.59, 1.626, 34
51.70, 1.768, 28
46.76, 1.943, 20
62.47, 1.487, 12
38.99, 2.310, 11
83.97, 1.152, 11
65.16, 1.432, 11
76.38, 1.247, 7

Crystal structure
a = 3.885 Å, b = 3.885 Å, c = 9.240 Å
α = 90.00°, β = 90.00°, γ = 90.00°
Fractional coordinates of all 9 atoms:
Ho 0.000 0.000 0.243
Ho 0.000 0.000 0.757
Er 0.500 0.500 0.000
Er 0.500 0.500 0.500
O 0.000 0.000 0.500
O 0.000 0.500 0.145
O 0.000 0.500 0.855
O 0.500 0.000 0.145
O 0.500 0.000 0.855

---

[9]
Ho2Er2O5: computed X-ray diffraction stick pattern (copper Kα), based on the PBE geometry in OQMD.
No peak broadening, texture or thermal motion is included.

Principal peaks in the range 10° ≤ 2θ ≤ 90°, by intensity:
2θ (°), d (Å), I_rel
30.03, 2.976, 100
32.87, 2.725, 36
56.93, 1.617, 34
51.46, 1.776, 28
47.17, 1.927, 19
62.42, 1.488, 12
38.45, 2.341, 12
64.40, 1.447, 11
83.57, 1.157, 11
76.97, 1.239, 7

Crystal structure
a = 3.854 Å, b = 3.854 Å, c = 9.365 Å
α = 90.00°, β = 90.00°, γ = 90.00°
Fractional coordinates of all 9 atoms:
Ho 0.000 0.000 0.000
Ho 0.000 0.000 0.500
Er 0.500 0.500 0.242
Er 0.500 0.500 0.758
O 0.000 0.500 0.145
O 0.000 0.500 0.855
O 0.500 0.000 0.145
O 0.500 0.000 0.855
O 0.500 0.500 0.500

---

[10]
HoErPO: computed X-ray diffraction stick pattern (copper Kα), based on the PBE geometry in OQMD.
No peak broadening, texture or thermal motion is included.

Principal peaks in the range 10° ≤ 2θ ≤ 90°, by intensity:
2θ (°), d (Å), I_rel
29.41, 3.037, 100
24.70, 3.604, 55
31.71, 2.822, 47
28.76, 3.104, 45
54.07, 1.696, 31
42.58, 2.123, 28
40.61, 2.222, 24
39.73, 2.269, 23
43.95, 2.060, 23
23.94, 3.717, 20

Crystal structure
a = 4.121 Å, b = 7.433 Å, c = 5.644 Å
α = 90.00°, β = 90.00°, γ = 90.00°
Fractional coordinates of all 8 atoms:
Ho 0.000 0.205 0.000
Ho 0.000 0.795 0.500
Er 0.500 0.378 0.558
Er 0.500 0.622 0.058
P 0.000 0.160 0.494
P 0.000 0.840 0.994
O 0.500 0.329 0.946
O 0.500 0.671 0.446

---

[11]
HoErSO2: computed X-ray diffraction stick pattern (copper Kα), based on the PBE geometry in OQMD.
No peak broadening, texture or thermal motion is included.

Principal peaks in the range 10° ≤ 2θ ≤ 90°, by intensity:
2θ (°), d (Å), I_rel
30.70, 2.912, 100
39.07, 2.305, 30
48.46, 1.878, 30
50.42, 1.810, 24
27.30, 3.267, 23
56.52, 1.628, 21
27.41, 3.254, 20
58.47, 1.579, 17
79.27, 1.208, 14
65.64, 1.422, 9

Crystal structure
a = 3.757 Å, b = 3.757 Å, c = 6.534 Å
α = 90.00°, β = 90.00°, γ = 120.00°
Fractional coordinates of all 5 atoms:
Ho 0.000 0.000 0.000
Er 0.667 0.333 0.435
S 0.333 0.667 0.717
O 0.000 0.000 0.348
O 0.667 0.333 0.089

---

[12]
HoErTeO2: computed X-ray diffraction stick pattern (copper Kα), based on the PBE geometry in OQMD.
No peak broadening, texture or thermal motion is included.

Principal peaks in the range 10° ≤ 2θ ≤ 90°, by intensity:
2θ (°), d (Å), I_rel
31.67, 2.825, 100
32.59, 2.748, 40
57.57, 1.601, 37
55.83, 1.647, 23
46.75, 1.943, 19
66.16, 1.413, 11
73.19, 1.293, 9
44.02, 2.057, 9
77.21, 1.236, 8
77.71, 1.229, 7

Crystal structure
a = 3.886 Å, b = 3.886 Å, c = 12.342 Å
α = 90.00°, β = 90.00°, γ = 90.00°
Fractional coordinates of all 10 atoms:
Ho 0.000 0.000 0.000
Ho 0.500 0.500 0.500
Er 0.000 0.000 0.326
Er 0.500 0.500 0.826
Te 0.000 0.000 0.663
Te 0.500 0.500 0.163
O 0.000 0.500 0.412
O 0.000 0.500 0.912
O 0.500 0.000 0.412
O 0.500 0.000 0.912

---

[13]
HoEr2Sc3P2Os: computed X-ray diffraction stick pattern (copper Kα), based on the PBE geometry in OQMD.
No peak broadening, texture or thermal motion is included.

Principal peaks in the range 10° ≤ 2θ ≤ 90°, by intensity:
2θ (°), d (Å), I_rel
35.81, 2.508, 100
32.85, 2.726, 64
27.92, 3.196, 52
21.97, 4.046, 39
37.22, 2.416, 29
56.69, 1.624, 25
68.00, 1.379, 25
24.12, 3.690, 23
43.64, 2.074, 22
51.55, 1.773, 22

Crystal structure
a = 4.046 Å, b = 7.381 Å, c = 7.381 Å
α = 120.03°, β = 90.00°, γ = 90.00°
Fractional coordinates of all 9 atoms:
Ho 0.000 0.000 0.000
Er 0.000 0.412 0.824
Er 0.000 0.824 0.412
Sc 0.500 0.170 0.412
Sc 0.500 0.412 0.170
Sc 0.500 0.656 0.656
P 0.500 0.079 0.745
P 0.500 0.745 0.079
Os 0.000 0.414 0.414

---

[14]
HoErSi2Os: computed X-ray diffraction stick pattern (copper Kα), based on the PBE geometry in OQMD.
No peak broadening, texture or thermal motion is included.

Principal peaks in the range 10° ≤ 2θ ≤ 90°, by intensity:
2θ (°), d (Å), I_rel
34.09, 2.630, 100
37.30, 2.411, 61
33.76, 2.655, 60
42.96, 2.105, 47
27.77, 3.213, 46
34.85, 2.574, 44
41.34, 2.184, 40
23.19, 3.835, 35
10.16, 8.707, 29
41.48, 2.177, 26

Crystal structure
a = 5.705 Å, b = 5.705 Å, c = 9.940 Å
α = 116.63°, β = 116.63°, γ = 43.31°
Fractional coordinates of all 10 atoms:
Ho 0.008 0.008 0.179
Ho 0.992 0.992 0.821
Er 0.185 0.185 0.611
Er 0.815 0.815 0.389
Si 0.357 0.357 0.940
Si 0.496 0.496 0.624
Si 0.504 0.504 0.376
Si 0.643 0.643 0.060
Os 0.270 0.270 0.127
Os 0.730 0.730 0.873

---

[15]
HoErZn2Pb2: computed X-ray diffraction stick pattern (copper Kα), based on the PBE geometry in OQMD.
No peak broadening, texture or thermal motion is included.

Principal peaks in the range 10° ≤ 2θ ≤ 90°, by intensity:
2θ (°), d (Å), I_rel
31.86, 2.809, 100
39.34, 2.290, 72
28.09, 3.177, 43
51.47, 1.775, 30
66.66, 1.403, 26
46.02, 1.972, 25
61.78, 1.502, 15
71.33, 1.322, 13
62.12, 1.494, 12
76.04, 1.252, 12

Crystal structure
a = 4.580 Å, b = 4.580 Å, c = 15.912 Å
α = 90.00°, β = 90.00°, γ = 120.00°
Fractional coordinates of all 12 atoms:
Ho 0.000 0.000 0.250
Ho 0.000 0.000 0.750
Er 0.000 0.000 0.000
Er 0.000 0.000 0.500
Zn 0.333 0.667 0.166
Zn 0.333 0.667 0.334
Zn 0.667 0.333 0.666
Zn 0.667 0.333 0.834
Pb 0.333 0.667 0.609
Pb 0.333 0.667 0.891
Pb 0.667 0.333 0.109
Pb 0.667 0.333 0.391